Ni6MoW: simulated powder diffraction line list (Cu Kα (λ = 1.5418 Å)), based on a structure optimized by DFT (PBE).
No peak broadening, texture or thermal motion is included.

The 10 most intense peaks (15° ≤ 2θ ≤ 90°), in order of rising 2θ:
d/Å  two_theta  I/Imax
3.333  26.74  12
3.236  27.57  14
2.188  41.25  31
2.114  42.77  46
1.971  46.06  61
1.944  46.74  100
1.521  60.93  19
1.278  74.18  16
1.185  81.17  19
1.094  89.61  22

abc: 4.229 5.025 4.455
angles: 90.00 90.00 90.00
Sites, in units of the cell vectors:
1 Ni 0.000 0.000 0.000
2 Ni 0.000 0.248 0.505
3 Ni 0.000 0.752 0.505
4 Ni 0.500 0.251 0.825
5 Ni 0.500 0.500 0.330
6 Ni 0.500 0.749 0.825
7 Mo 0.500 0.000 0.321
8 W 0.000 0.500 0.009



NpMo6Se8: simulated powder diffraction line list (Cu Kα (λ = 1.5418 Å)), based on a structure optimized by DFT (PBE).
No peak broadening, texture or thermal motion is included.

The 10 most intense peaks (15° ≤ 2θ ≤ 90°), in order of rising 2θ:
d/Å  two_theta  I/Imax
4.807  18.46  60
4.715  18.82  55
3.034  29.44  50
2.988  29.91  57
2.740  32.69  48
2.722  32.90  60
2.284  39.46  52
2.225  40.54  99
2.141  42.20  75
2.026  44.72  100

abc: 6.735 6.735 6.735
angles: 88.87 88.87 88.87
Sites, in units of the cell vectors:
1 Np 0.000 0.000 0.000
2 Mo 0.231 0.560 0.424
3 Mo 0.424 0.231 0.560
4 Mo 0.440 0.576 0.769
5 Mo 0.560 0.424 0.231
6 Mo 0.576 0.769 0.440
7 Mo 0.769 0.440 0.576
8 Se 0.122 0.368 0.761
9 Se 0.237 0.237 0.237
10 Se 0.239 0.878 0.632
11 Se 0.368 0.761 0.122
12 Se 0.632 0.239 0.878
13 Se 0.761 0.122 0.368
14 Se 0.763 0.763 0.763
15 Se 0.878 0.632 0.239



NpTeMo: simulated powder diffraction line list (Cu Kα (λ = 1.5418 Å)), based on a structure optimized by DFT (PBE).
No peak broadening, texture or thermal motion is included.

The 10 most intense peaks (15° ≤ 2θ ≤ 90°), in order of rising 2θ:
d/Å  two_theta  I/Imax
3.803  23.39  39
3.294  27.07  26
2.329  38.66  100
1.986  45.67  21
1.902  47.83  8
1.647  55.82  17
1.511  61.34  9
1.473  63.11  10
1.345  69.96  35
1.165  82.90  11

abc: 4.658 4.658 4.658
angles: 60.00 60.00 60.00
Sites, in units of the cell vectors:
1 Np 0.000 0.000 0.000
2 Te 0.750 0.750 0.750
3 Mo 0.500 0.500 0.500